Record 1
Structure and computed PXRD pattern of ScBeCr (a cell relaxed with PBE; Cu Kα).
No peak broadening, texture or thermal motion is included.

Crystal structure
abc: 3.0464 3.0464 9.3679
angles: 90.00 90.00 90.00
Fractional coordinates of all 6 atoms:
Sc: 0.0000 0.0000 0.0000
Sc: 0.5000 0.5000 0.2875
Be: 0.5000 0.5000 0.5828
Be: 0.5000 0.5000 0.8128
Cr: 0.0000 0.0000 0.4822
Cr: 0.0000 0.0000 0.6958

Principal peaks in the range 10° ≤ 2θ ≤ 80°, most intense first:
2θ (°)  I_rel
41.94  100
35.14  86
30.87  73
49.06  60
29.32  59
41.41  35
60.81  30
58.19  27
38.44  26
67.40  18

Record 2
Structure and computed PXRD pattern of Li2TlAsBr6 (a cell relaxed with PBE; Cu Kα).
No peak broadening, texture or thermal motion is included.

Crystal structure
abc: 8.8258 8.8258 8.8258
angles: 45.49 45.49 45.49
Fractional coordinates of all 10 atoms:
Li: 0.1691 0.1691 0.1691
Li: 0.8309 0.8309 0.8309
Tl: 0.0000 0.0000 0.0000
As: 0.5000 0.5000 0.5000
Br: 0.1109 0.7582 0.4383
Br: 0.2418 0.5617 0.8891
Br: 0.4383 0.1109 0.7582
Br: 0.5617 0.8891 0.2418
Br: 0.7582 0.4383 0.1109
Br: 0.8891 0.2418 0.5617

Principal peaks in the range 10° ≤ 2θ ≤ 80°, most intense first:
2θ (°)  I_rel
28.49  100
34.74  89
16.76  70
46.06  43
21.24  39
33.88  21
53.63  21
41.09  20
43.27  20
58.51  19

Record 3
Structure and computed PXRD pattern of FeNi2C6N6 (a cell relaxed with PBE; Cu Kα).
No peak broadening, texture or thermal motion is included.

Crystal structure
abc: 7.0952 7.0952 7.0952
angles: 60.00 60.00 60.00
Fractional coordinates of all 15 atoms:
Fe: 0.0000 0.0000 0.0000
Ni: 0.2500 0.2500 0.2500
Ni: 0.5000 0.5000 0.5000
C: 0.1873 0.1873 0.8127
C: 0.1873 0.8127 0.1873
C: 0.1873 0.8127 0.8127
C: 0.8127 0.1873 0.1873
C: 0.8127 0.1873 0.8127
C: 0.8127 0.8127 0.1873
N: 0.3044 0.3044 0.6956
N: 0.3044 0.6956 0.3044
N: 0.3044 0.6956 0.6956
N: 0.6956 0.3044 0.3044
N: 0.6956 0.3044 0.6956
N: 0.6956 0.6956 0.3044

Principal peaks in the range 10° ≤ 2θ ≤ 80°, most intense first:
2θ (°)  I_rel
25.10  100
17.68  75
35.80  61
15.29  35
58.14  32
51.52  28
44.22  26
70.19  25
29.53  21
40.19  12

Record 4
Structure and computed PXRD pattern of CsK2ScBr6 (a cell relaxed with PBE; Cu Kα).
No peak broadening, texture or thermal motion is included.

Crystal structure
abc: 8.5454 8.5454 8.5454
angles: 56.96 56.96 56.96
Fractional coordinates of all 10 atoms:
Cs: 0.0000 0.0000 0.0000
K: 0.2008 0.2008 0.2008
K: 0.7160 0.7160 0.7160
Sc: 0.5141 0.5141 0.5141
Br: 0.1796 0.4264 0.7290
Br: 0.3342 0.8564 0.5824
Br: 0.4264 0.7290 0.1796
Br: 0.5824 0.3342 0.8564
Br: 0.7290 0.1796 0.4264
Br: 0.8564 0.5824 0.3342

Principal peaks in the range 10° ≤ 2θ ≤ 80°, most intense first:
2θ (°)  I_rel
25.17  100
33.39  55
15.04  48
37.68  32
38.25  32
33.86  20
20.83  19
25.58  18
30.34  17
44.10  17

Record 5
Structure and computed PXRD pattern of Nd14YEr (a cell relaxed with PBE; Cu Kα).
No peak broadening, texture or thermal motion is included.

Crystal structure
abc: 10.3551 7.3323 7.3323
angles: 89.98 90.00 90.00
Fractional coordinates of all 16 atoms:
Nd: 0.0000 0.0000 0.0000
Nd: 0.0000 0.4992 0.4992
Nd: 0.0000 0.5002 0.9990
Nd: 0.0000 0.9990 0.5002
Nd: 0.2520 0.2502 0.2502
Nd: 0.2521 0.2501 0.7490
Nd: 0.2521 0.7490 0.2501
Nd: 0.2522 0.7489 0.7489
Nd: 0.5000 0.0001 0.4991
Nd: 0.5000 0.4991 0.0001
Nd: 0.7480 0.2502 0.2502
Nd: 0.7479 0.2501 0.7490
Nd: 0.7479 0.7490 0.2501
Nd: 0.7478 0.7489 0.7489
Y: 0.5000 0.9992 0.9992
Er: 0.5000 0.4999 0.4999

Principal peaks in the range 10° ≤ 2θ ≤ 80°, most intense first:
2θ (°)  I_rel
29.86  100
34.62  51
59.13  43
49.76  36
62.04  12
72.99  4
73.11  2
14.80  1

Record 6
Structure and computed PXRD pattern of RbTl9Cd3 (a cell relaxed with PBE; Cu Kα).
No peak broadening, texture or thermal motion is included.

Crystal structure
abc: 8.6669 8.6669 8.5952
angles: 97.35 97.35 138.07
Fractional coordinates of all 13 atoms:
Rb: 0.0000 0.0000 0.0000
Tl: 0.0000 0.0000 0.5000
Tl: 0.0047 0.6448 0.6461
Tl: 0.2951 0.5120 0.7892
Tl: 0.3552 0.9953 0.3539
Tl: 0.4880 0.7049 0.2108
Tl: 0.5120 0.2951 0.7892
Tl: 0.6448 0.0047 0.6461
Tl: 0.7049 0.4880 0.2108
Tl: 0.9953 0.3552 0.3539
Cd: 0.0000 0.5000 0.0000
Cd: 0.5000 0.0000 0.0000
Cd: 0.5000 0.5000 0.5000

Principal peaks in the range 10° ≤ 2θ ≤ 80°, most intense first:
2θ (°)  I_rel
31.67  100
36.52  94
31.86  92
31.39  91
32.88  90
27.54  72
35.49  56
35.62  55
28.79  42
35.33  42

Record 7
Structure and computed PXRD pattern of Re6Tc3Os (a cell relaxed with PBE; Cu Kα).
No peak broadening, texture or thermal motion is included.

Crystal structure
abc: 5.0576 7.8317 9.5341
angles: 90.00 121.92 90.00
Fractional coordinates of all 20 atoms:
Re: 0.0145 0.1064 0.2498
Re: 0.0145 0.3936 0.7498
Re: 0.0624 0.6565 0.5642
Re: 0.0624 0.8435 0.0642
Re: 0.4361 0.6576 0.9383
Re: 0.4361 0.8424 0.4383
Re: 0.5639 0.1576 0.5617
Re: 0.5639 0.3424 0.0617
Re: 0.9376 0.1565 0.9358
Re: 0.9376 0.3435 0.4358
Re: 0.9855 0.6064 0.2502
Re: 0.9855 0.8936 0.7502
Tc: 0.4892 0.1108 0.2498
Tc: 0.4892 0.3892 0.7498
Tc: 0.5000 0.0000 0.0000
Tc: 0.5000 0.5000 0.5000
Tc: 0.5108 0.6108 0.2502
Tc: 0.5108 0.8892 0.7502
Os: 0.0000 0.0000 0.5000
Os: 0.0000 0.5000 0.0000

Principal peaks in the range 10° ≤ 2θ ≤ 80°, most intense first:
2θ (°)  I_rel
42.14  100
40.61  83
38.82  72
44.07  62
45.05  53
39.58  46
73.66  22
23.65  21
25.27  18
70.44  17

Record 8
Structure and computed PXRD pattern of Sr3GeO5 (a cell relaxed with PBE; Cu Kα).
No peak broadening, texture or thermal motion is included.

Crystal structure
abc: 7.3122 7.3122 11.0985
angles: 90.00 90.00 90.00
Fractional coordinates of all 36 atoms:
Sr: 0.0416 0.5416 0.2500
Sr: 0.0416 0.9584 0.7500
Sr: 0.2500 0.2500 0.0171
Sr: 0.2500 0.2500 0.5171
Sr: 0.4584 0.5416 0.7500
Sr: 0.4584 0.9584 0.2500
Sr: 0.5416 0.0416 0.7500
Sr: 0.5416 0.4584 0.2500
Sr: 0.7500 0.7500 0.4829
Sr: 0.7500 0.7500 0.9829
Sr: 0.9584 0.0416 0.2500
Sr: 0.9584 0.4584 0.7500
Ge: 0.2500 0.7500 0.0000
Ge: 0.2500 0.7500 0.5000
Ge: 0.7500 0.2500 0.0000
Ge: 0.7500 0.2500 0.5000
O: 0.0687 0.6869 0.9016
O: 0.0687 0.8131 0.4016
O: 0.1869 0.5687 0.5984
O: 0.1869 0.9313 0.0984
O: 0.2500 0.2500 0.2984
O: 0.2500 0.2500 0.7984
O: 0.3131 0.5687 0.0984
O: 0.3131 0.9313 0.5984
O: 0.4313 0.6869 0.4016
O: 0.4313 0.8131 0.9016
O: 0.5687 0.1869 0.0984
O: 0.5687 0.3131 0.5984
O: 0.6869 0.0687 0.4016
O: 0.6869 0.4313 0.9016
O: 0.7500 0.7500 0.2016
O: 0.7500 0.7500 0.7016
O: 0.8131 0.0687 0.9016
O: 0.8131 0.4313 0.4016
O: 0.9313 0.1869 0.5984
O: 0.9313 0.3131 0.0984

Principal peaks in the range 10° ≤ 2θ ≤ 80°, most intense first:
2θ (°)  I_rel
29.25  100
34.70  28
48.11  27
32.26  17
36.68  16
55.69  16
58.88  15
52.23  10
28.45  10
49.87  10